[1]
Na6O: simulated powder diffraction line list (Cu Kα X-rays), based on a PBE-relaxed structure.
Lines closer than 0.1° are merged.

Largest 6 diffraction maxima, low angle first, 2θ = 15–90°:
2θ (°)	I/Imax	(hkl)
15.75	33.7	0 0 2
20.49	52.5	1 3 1
31.28	100.0	2 0 2
31.81	32.8	0 0 4
38.33	40.8	2 6 0
50.64	29.2	2 6 4

Structure:
```
data_Na6O
_space_group_name_H-M_alt 'C m m 2'
_space_group_IT_number 35
_cell_length_a 6.6370
_cell_length_b 19.9360
_cell_length_c 11.2514
_cell_angle_alpha 90.00
_cell_angle_beta 90.00
_cell_angle_gamma 90.00
loop_
_space_group_symop_operation_xyz
'x,y,z'
'-x,-y,z'
'-x,y,z'
'x,-y,z'
'x+1/2,y+1/2,z'
'-x+1/2,-y+1/2,z'
'-x+1/2,y+1/2,z'
'x+1/2,-y+1/2,z'
loop_
_atom_site_label
_atom_site_fract_x
_atom_site_fract_y
_atom_site_fract_z
_atom_site_occupancy
Na1 0.0000 0.0000 0.0048 1
Na2 0.0000 0.1713 0.4940 1
Na3 0.0000 0.3324 0.0000 1
Na4 0.0000 0.5000 0.5070 1
Na5 0.2260 0.0959 0.2498 1
Na6 0.2316 0.4230 0.7493 1
Na7 0.2500 0.2500 0.2641 1
Na8 0.2500 0.2500 0.7593 1
O1 0.0000 0.1756 0.2991 1
O2 0.0000 0.5000 0.7015 1
```

***

[2]
NaO2: simulated powder diffraction line list (Cu Kα X-rays), based on a PBE-relaxed structure.
Lines closer than 0.1° are merged.

Largest 6 diffraction maxima, low angle first, 2θ = 15–90°:
2θ (°)	I/Imax	(hkl)
36.03	49.9	0 1 2
40.75	100.0	1 1 0
41.28	13.3	0 0 3
55.51	12.1	2 0 2
59.40	22.6	1 1 3
74.17	11.1	3 0 0

Structure:
```
data_NaO2
_space_group_name_H-M_alt 'R -3 m'
_space_group_IT_number 166
_space_group_name_Hall '-R 3 2"'
_cell_length_a 4.4285
_cell_length_b 4.4285
_cell_length_c 6.5606
_cell_angle_alpha 90.00
_cell_angle_beta 90.00
_cell_angle_gamma 120.00
loop_
_atom_site_label
_atom_site_fract_x
_atom_site_fract_y
_atom_site_fract_z
_atom_site_occupancy
Na1 0.0000 0.0000 0.0000 1
O1 0.0000 0.0000 0.3965 1
```